For Sr2MgFeCoO6, a structure optimized by DFT (GGA+U) gives the computed powder XRD pattern in this record (Cu Kα (weighted mean of Kα1 and Kα2)).
Neutral-atom scattering factors, no anomalous dispersion.

Top 10 peaks for 2θ from 10° to 90°, by angle:
2θ (°)  I/Imax
17.7  17.9
18.4  22.8
29.0  98.4
31.3  100.0
32.4  47.8
32.6  47.2
42.9  20.1
45.7  67.5
46.6  68.2
74.8  24.0

Cell and atoms:
a b c (Å): 6.3519 6.3519 6.3519
angles (deg): 128.74 128.44 75.67
Positions (direct):
Sr (0.1793, 0.1793, 0.0000)
Sr (0.8207, 0.8207, 0.0000)
Mg (0.5000, 0.5000, 0.0000)
Fe (0.0000, 0.5000, 0.5000)
Co (0.5000, 0.0000, 0.5000)
O (0.1984, 0.6984, 0.5000)
O (0.2603, 0.2382, 0.4985)
O (0.2603, 0.7618, 0.0221)
O (0.7397, 0.2382, 0.9779)
O (0.7397, 0.7618, 0.5015)
O (0.8016, 0.3016, 0.5000)

For Mn3FeCo2P6O24, a structure optimized by DFT (GGA+U) gives the computed powder XRD pattern in this record (Cu Kα (weighted mean of Kα1 and Kα2)).
Neutral-atom scattering factors, no anomalous dispersion.

Top 10 peaks for 2θ from 10° to 90°, by angle:
2θ (°)  I/Imax
20.7  91.1
24.4  100.0
25.5  18.1
32.1  16.8
33.4  71.5
36.2  39.9
47.9  33.5
50.1  26.9
56.7  24.9
63.4  20.5

Cell and atoms:
a b c (Å): 8.4740 8.4740 8.4740
angles (deg): 60.88 60.88 60.88
Positions (direct):
Mn (0.0000, 0.0000, 0.0000)
Mn (0.2146, 0.2146, 0.2146)
Mn (0.7146, 0.7146, 0.7146)
Fe (0.5016, 0.5016, 0.5016)
Co (0.3591, 0.3591, 0.3591)
Co (0.8570, 0.8570, 0.8570)
P (0.1070, 0.8154, 0.3972)
P (0.3142, 0.6077, 0.9030)
P (0.3972, 0.1070, 0.8154)
P (0.6077, 0.9030, 0.3142)
P (0.8154, 0.3972, 0.1070)
P (0.9030, 0.3142, 0.6077)
O (0.0407, 0.8552, 0.2375)
O (0.1029, 0.2955, 0.4483)
O (0.1146, 0.7731, 0.9165)
O (0.1712, 0.9727, 0.3640)
O (0.2375, 0.0407, 0.8552)
O (0.2657, 0.6175, 0.4139)
O (0.2955, 0.4483, 0.1029)
O (0.3496, 0.5452, 0.7454)
O (0.3640, 0.1712, 0.9727)
O (0.4139, 0.2657, 0.6175)
O (0.4483, 0.1029, 0.2955)
O (0.4733, 0.6694, 0.8694)
O (0.5452, 0.7454, 0.3496)
O (0.5957, 0.9433, 0.8037)
O (0.6175, 0.4139, 0.2657)
O (0.6694, 0.8694, 0.4733)
O (0.7454, 0.3496, 0.5452)
O (0.7731, 0.9165, 0.1146)
O (0.8037, 0.5957, 0.9433)
O (0.8552, 0.2375, 0.0407)
O (0.8694, 0.4733, 0.6694)
O (0.9165, 0.1146, 0.7731)
O (0.9433, 0.8037, 0.5957)
O (0.9727, 0.3640, 0.1712)